Record 1
For Al2CuBr8, DFT lattice parameters and positions (GGA-PBE) gives the computed X-ray diffraction stick pattern in this record (copper Kα).
Peak positions follow from Bragg's law for the DFT cell and can differ from measured ones.

Most intense lines, 15 to 90 degrees two-theta, low angle first:
2θ 16.88, d = 5.251 Å, I 14; 2θ 18.40, d = 4.821 Å, I 22; 2θ 22.75, d = 3.909 Å, I 19; 2θ 24.53, d = 3.628 Å, I 25; 2θ 26.69, d = 3.339 Å, I 100; 2θ 27.17, d = 3.282 Å, I 39; 2θ 28.69, d = 3.112 Å, I 26; 2θ 28.92, d = 3.087 Å, I 34; 2θ 38.80, d = 2.321 Å, I 22; 2θ 42.13, d = 2.145 Å, I 29

Atomic structure:
```
data_Al2CuBr8
_chemical_formula_sum 'Al4 Cu2 Br16'
_cell_length_a 10.480
_cell_length_b 10.480
_cell_length_c 12.455
_cell_angle_alpha 124.72
_cell_angle_beta 124.72
_cell_angle_gamma 52.57
_space_group_name_H-M_alt 'P 1'
_space_group_IT_number 1
loop_
_space_group_symop_operation_xyz
'x,y,z'
loop_
_atom_site_label
_atom_site_type_symbol
_atom_site_fract_x
_atom_site_fract_y
_atom_site_fract_z
Al1 Al 0.164 0.680 0.881
Al2 Al 0.320 0.836 0.619
Al3 Al 0.680 0.164 0.381
Al4 Al 0.836 0.320 0.119
Cu1 Cu 0.043 0.957 0.750
Cu2 Cu 0.957 0.043 0.250
Br1 Br 0.101 0.174 0.271
Br2 Br 0.117 0.710 0.056
Br3 Br 0.158 0.697 0.542
Br4 Br 0.174 0.101 0.771
Br5 Br 0.290 0.883 0.444
Br6 Br 0.291 0.399 0.760
Br7 Br 0.303 0.842 0.958
Br8 Br 0.399 0.291 0.260
Br9 Br 0.601 0.709 0.740
Br10 Br 0.697 0.158 0.042
Br11 Br 0.709 0.601 0.240
Br12 Br 0.710 0.117 0.556
Br13 Br 0.826 0.899 0.229
Br14 Br 0.842 0.303 0.458
Br15 Br 0.883 0.290 0.944
Br16 Br 0.899 0.826 0.729
```

=====

Record 2
For Dy3Er2Cu2, DFT lattice parameters and positions (GGA-PBE) gives the computed X-ray diffraction stick pattern in this record (copper Kα).
Peak positions follow from Bragg's law for the DFT cell and can differ from measured ones.

Most intense lines, 15 to 90 degrees two-theta, low angle first:
2θ 29.04, d = 3.075 Å, I 21; 2θ 29.71, d = 3.007 Å, I 23; 2θ 29.98, d = 2.981 Å, I 34; 2θ 31.92, d = 2.803 Å, I 49; 2θ 32.96, d = 2.718 Å, I 100; 2θ 34.76, d = 2.581 Å, I 53; 2θ 35.01, d = 2.563 Å, I 25; 2θ 36.77, d = 2.444 Å, I 28; 2θ 39.84, d = 2.263 Å, I 24; 2θ 57.50, d = 1.603 Å, I 22

Atomic structure:
```
data_Dy3Er2Cu2
_chemical_formula_sum 'Dy3 Er2 Cu2'
_cell_length_a 6.445
_cell_length_b 6.445
_cell_length_c 8.948
_cell_angle_alpha 115.32
_cell_angle_beta 115.32
_cell_angle_gamma 32.51
_space_group_name_H-M_alt 'P 1'
_space_group_IT_number 1
loop_
_space_group_symop_operation_xyz
'x,y,z'
loop_
_atom_site_label
_atom_site_type_symbol
_atom_site_fract_x
_atom_site_fract_y
_atom_site_fract_z
Dy1 Dy 0.000 0.000 0.000
Dy2 Dy 0.114 0.114 0.443
Dy3 Dy 0.886 0.886 0.557
Er1 Er 0.345 0.345 0.186
Er2 Er 0.655 0.655 0.814
Cu1 Cu 0.328 0.328 0.773
Cu2 Cu 0.672 0.672 0.227
```

=====

Record 3
For BePtS, DFT lattice parameters and positions (GGA-PBE) gives the computed X-ray diffraction stick pattern in this record (copper Kα).
Peak positions follow from Bragg's law for the DFT cell and can differ from measured ones.

Most intense lines, 15 to 90 degrees two-theta, low angle first:
2θ 19.71, d = 4.505 Å, I 100; 2θ 27.18, d = 3.281 Å, I 37; 2θ 28.44, d = 3.139 Å, I 73; 2θ 33.80, d = 2.652 Å, I 87; 2θ 34.84, d = 2.575 Å, I 50; 2θ 39.99, d = 2.255 Å, I 37; 2θ 44.55, d = 2.034 Å, I 41; 2θ 44.92, d = 2.018 Å, I 42; 2θ 49.06, d = 1.857 Å, I 27; 2θ 49.83, d = 1.830 Å, I 25

Atomic structure:
```
data_BePtS
_chemical_formula_sum 'Be2 Pt2 S2'
_cell_length_a 4.519
_cell_length_b 4.505
_cell_length_c 4.563
_cell_angle_alpha 90.00
_cell_angle_beta 92.54
_cell_angle_gamma 90.00
_space_group_name_H-M_alt 'P 1'
_space_group_IT_number 1
loop_
_space_group_symop_operation_xyz
'x,y,z'
loop_
_atom_site_label
_atom_site_type_symbol
_atom_site_fract_x
_atom_site_fract_y
_atom_site_fract_z
Be1 Be 0.190 0.000 0.186
Be2 Be 0.810 0.000 0.814
Pt1 Pt 0.253 0.247 0.746
Pt2 Pt 0.747 0.247 0.254
S1 S 0.000 0.607 0.000
S2 S 0.500 0.863 0.500
```

=====

Record 4
For AcBeGaPd3, DFT lattice parameters and positions (GGA-PBE) gives the computed X-ray diffraction stick pattern in this record (copper Kα).
Peak positions follow from Bragg's law for the DFT cell and can differ from measured ones.

Most intense lines, 15 to 90 degrees two-theta, low angle first:
2θ 29.31, d = 3.047 Å, I 19; 2θ 30.19, d = 2.960 Å, I 52; 2θ 31.70, d = 2.823 Å, I 100; 2θ 32.58, d = 2.749 Å, I 30; 2θ 33.84, d = 2.649 Å, I 84; 2θ 41.80, d = 2.161 Å, I 82; 2θ 42.58, d = 2.123 Å, I 25; 2θ 45.15, d = 2.008 Å, I 26; 2θ 68.77, d = 1.365 Å, I 21; 2θ 72.45, d = 1.304 Å, I 18

Atomic structure:
```
data_AcBeGaPd3
_chemical_formula_sum 'Ac2 Be2 Ga2 Pd6'
_cell_length_a 6.766
_cell_length_b 6.766
_cell_length_c 6.371
_cell_angle_alpha 90.00
_cell_angle_beta 90.00
_cell_angle_gamma 128.46
_space_group_name_H-M_alt 'P 1'
_space_group_IT_number 1
loop_
_space_group_symop_operation_xyz
'x,y,z'
loop_
_atom_site_label
_atom_site_type_symbol
_atom_site_fract_x
_atom_site_fract_y
_atom_site_fract_z
Ac1 Ac 0.219 0.781 0.750
Ac2 Ac 0.781 0.219 0.250
Be1 Be 0.481 0.519 0.750
Be2 Be 0.519 0.481 0.250
Ga1 Ga 0.120 0.880 0.250
Ga2 Ga 0.880 0.120 0.750
Pd1 Pd 0.245 0.245 0.000
Pd2 Pd 0.245 0.245 0.500
Pd3 Pd 0.327 0.673 0.250
Pd4 Pd 0.673 0.327 0.750
Pd5 Pd 0.755 0.755 0.000
Pd6 Pd 0.755 0.755 0.500
```

=====

Record 5
For K4UPa3O12, DFT lattice parameters and positions (GGA-PBE) gives the computed X-ray diffraction stick pattern in this record (copper Kα).
Peak positions follow from Bragg's law for the DFT cell and can differ from measured ones.

Most intense lines, 15 to 90 degrees two-theta, low angle first:
2θ 20.32, d = 4.370 Å, I 75; 2θ 28.89, d = 3.090 Å, I 100; 2θ 35.58, d = 2.523 Å, I 11; 2θ 41.32, d = 2.185 Å, I 30; 2θ 46.46, d = 1.955 Å, I 37; 2θ 51.20, d = 1.784 Å, I 42; 2θ 59.86, d = 1.545 Å, I 20; 2θ 63.90, d = 1.457 Å, I 18; 2θ 67.81, d = 1.382 Å, I 19; 2θ 82.60, d = 1.168 Å, I 22

Atomic structure:
```
data_K4UPa3O12
_chemical_formula_sum 'K4 U1 Pa3 O12'
_cell_length_a 7.570
_cell_length_b 7.570
_cell_length_c 7.570
_cell_angle_alpha 109.47
_cell_angle_beta 109.47
_cell_angle_gamma 109.47
_space_group_name_H-M_alt 'P 1'
_space_group_IT_number 1
loop_
_space_group_symop_operation_xyz
'x,y,z'
loop_
_atom_site_label
_atom_site_type_symbol
_atom_site_fract_x
_atom_site_fract_y
_atom_site_fract_z
K1 K 0.000 0.000 0.500
K2 K 0.000 0.500 0.000
K3 K 0.500 0.000 0.000
K4 K 0.500 0.500 0.500
U1 U 0.000 0.000 0.000
Pa1 Pa 0.000 0.500 0.500
Pa2 Pa 0.500 0.000 0.500
Pa3 Pa 0.500 0.500 0.000
O1 O 0.000 0.249 0.249
O2 O 0.000 0.751 0.751
O3 O 0.249 0.000 0.249
O4 O 0.249 0.249 0.000
O5 O 0.250 0.500 0.750
O6 O 0.250 0.750 0.500
O7 O 0.500 0.250 0.750
O8 O 0.500 0.750 0.250
O9 O 0.750 0.250 0.500
O10 O 0.750 0.500 0.250
O11 O 0.751 0.000 0.751
O12 O 0.751 0.751 0.000
```

=====

Record 6
For PaBr2F2, DFT lattice parameters and positions (GGA-PBE) gives the computed X-ray diffraction stick pattern in this record (copper Kα).
Peak positions follow from Bragg's law for the DFT cell and can differ from measured ones.

Most intense lines, 15 to 90 degrees two-theta, low angle first:
2θ 19.79, d = 4.486 Å, I 36; 2θ 22.46, d = 3.959 Å, I 79; 2θ 25.95, d = 3.434 Å, I 37; 2θ 27.00, d = 3.303 Å, I 98; 2θ 35.39, d = 2.536 Å, I 100; 2θ 37.70, d = 2.386 Å, I 30; 2θ 37.94, d = 2.372 Å, I 31; 2θ 44.33, d = 2.044 Å, I 59; 2θ 54.01, d = 1.698 Å, I 29; 2θ 60.79, d = 1.524 Å, I 29

Atomic structure:
```
data_PaBr2F2
_chemical_formula_sum 'Pa1 Br2 F2'
_cell_length_a 7.298
_cell_length_b 7.298
_cell_length_c 3.959
_cell_angle_alpha 90.00
_cell_angle_beta 90.00
_cell_angle_gamma 142.07
_space_group_name_H-M_alt 'P 1'
_space_group_IT_number 1
loop_
_space_group_symop_operation_xyz
'x,y,z'
loop_
_atom_site_label
_atom_site_type_symbol
_atom_site_fract_x
_atom_site_fract_y
_atom_site_fract_z
Pa1 Pa 0.000 0.000 0.000
Br1 Br 0.373 0.627 0.000
Br2 Br 0.627 0.373 0.000
F1 F 0.087 0.913 0.500
F2 F 0.913 0.087 0.500
```

=====

Record 7
For Ca11GaSb9, DFT lattice parameters and positions (GGA-PBE) gives the computed X-ray diffraction stick pattern in this record (copper Kα).
Peak positions follow from Bragg's law for the DFT cell and can differ from measured ones.

Most intense lines, 15 to 90 degrees two-theta, low angle first:
2θ 22.57, d = 3.940 Å, I 50; 2θ 22.93, d = 3.879 Å, I 46; 2θ 23.55, d = 3.778 Å, I 35; 2θ 30.02, d = 2.977 Å, I 25; 2θ 30.65, d = 2.917 Å, I 54; 2θ 31.12, d = 2.874 Å, I 76; 2θ 31.40, d = 2.849 Å, I 27; 2θ 31.85, d = 2.809 Å, I 100; 2θ 43.82, d = 2.066 Å, I 23; 2θ 45.18, d = 2.007 Å, I 36

Atomic structure:
```
data_Ca11GaSb9
_chemical_formula_sum 'Ca22 Ga2 Sb18'
_cell_length_a 12.055
_cell_length_b 12.055
_cell_length_c 12.055
_cell_angle_alpha 120.93
_cell_angle_beta 117.47
_cell_angle_gamma 91.42
_space_group_name_H-M_alt 'P 1'
_space_group_IT_number 1
loop_
_space_group_symop_operation_xyz
'x,y,z'
loop_
_atom_site_label
_atom_site_type_symbol
_atom_site_fract_x
_atom_site_fract_y
_atom_site_fract_z
Ca1 Ca 0.012 0.681 0.013
Ca2 Ca 0.020 0.020 0.000
Ca3 Ca 0.022 0.286 0.370
Ca4 Ca 0.155 0.531 0.259
Ca5 Ca 0.168 0.181 0.669
Ca6 Ca 0.223 0.571 0.795
Ca7 Ca 0.271 0.896 0.741
Ca8 Ca 0.277 0.071 0.348
Ca9 Ca 0.410 0.593 0.638
Ca10 Ca 0.416 0.786 0.264
Ca11 Ca 0.454 0.093 0.182
Ca12 Ca 0.512 0.499 0.331
Ca13 Ca 0.520 0.520 0.000
Ca14 Ca 0.522 0.152 0.736
Ca15 Ca 0.655 0.396 0.625
Ca16 Ca 0.668 0.999 0.987
Ca17 Ca 0.723 0.929 0.652
Ca18 Ca 0.771 0.031 0.375
Ca19 Ca 0.777 0.429 0.205
Ca20 Ca 0.910 0.272 0.818
Ca21 Ca 0.916 0.652 0.630
Ca22 Ca 0.954 0.772 0.362
Ga1 Ga 0.234 0.234 0.000
Ga2 Ga 0.734 0.734 0.000
Sb1 Sb 0.014 0.005 0.715
Sb2 Sb 0.092 0.592 0.500
Sb3 Sb 0.202 0.846 0.001
Sb4 Sb 0.228 0.874 0.426
Sb5 Sb 0.230 0.474 0.016
Sb6 Sb 0.290 0.299 0.285
Sb7 Sb 0.344 0.346 0.644
Sb8 Sb 0.449 0.802 0.574
Sb9 Sb 0.458 0.214 0.984
Sb10 Sb 0.514 0.799 0.009
Sb11 Sb 0.592 0.092 0.500
Sb12 Sb 0.702 0.701 0.356
Sb13 Sb 0.728 0.302 0.354
Sb14 Sb 0.730 0.714 0.755
Sb15 Sb 0.790 0.505 0.991
Sb16 Sb 0.844 0.201 0.999
Sb17 Sb 0.949 0.374 0.646
Sb18 Sb 0.958 0.974 0.245
```

=====

Record 8
For PrHg5Pd6, DFT lattice parameters and positions (GGA-PBE) gives the computed X-ray diffraction stick pattern in this record (copper Kα).
Peak positions follow from Bragg's law for the DFT cell and can differ from measured ones.

Most intense lines, 15 to 90 degrees two-theta, low angle first:
2θ 26.02, d = 3.424 Å, I 10; 2θ 36.88, d = 2.437 Å, I 28; 2θ 37.39, d = 2.405 Å, I 26; 2θ 38.24, d = 2.354 Å, I 100; 2θ 53.53, d = 1.712 Å, I 19; 2θ 67.34, d = 1.390 Å, I 19; 2θ 68.01, d = 1.379 Å, I 17; 2θ 69.68, d = 1.350 Å, I 8; 2θ 70.00, d = 1.344 Å, I 8; 2θ 81.84, d = 1.177 Å, I 10

Atomic structure:
```
data_PrHg5Pd6
_chemical_formula_sum 'Pr1 Hg5 Pd6'
_cell_length_a 8.277
_cell_length_b 8.277
_cell_length_c 8.277
_cell_angle_alpha 145.75
_cell_angle_beta 133.89
_cell_angle_gamma 58.68
_space_group_name_H-M_alt 'P 1'
_space_group_IT_number 1
loop_
_space_group_symop_operation_xyz
'x,y,z'
loop_
_atom_site_label
_atom_site_type_symbol
_atom_site_fract_x
_atom_site_fract_y
_atom_site_fract_z
Pr1 Pr 0.000 0.000 0.000
Hg1 Hg 0.158 0.658 0.500
Hg2 Hg 0.328 0.328 0.000
Hg3 Hg 0.500 0.000 0.500
Hg4 Hg 0.672 0.672 0.000
Hg5 Hg 0.842 0.342 0.500
Pd1 Pd 0.091 0.829 0.262
Pd2 Pd 0.275 0.500 0.775
Pd3 Pd 0.434 0.171 0.262
Pd4 Pd 0.566 0.829 0.738
Pd5 Pd 0.725 0.500 0.225
Pd6 Pd 0.909 0.171 0.738
```

=====

Record 9
For Nd2HoErS5, DFT lattice parameters and positions (GGA-PBE) gives the computed X-ray diffraction stick pattern in this record (copper Kα).
Peak positions follow from Bragg's law for the DFT cell and can differ from measured ones.

Most intense lines, 15 to 90 degrees two-theta, low angle first:
2θ 25.31, d = 3.519 Å, I 100; 2θ 25.97, d = 3.431 Å, I 90; 2θ 32.09, d = 2.789 Å, I 16; 2θ 35.11, d = 2.556 Å, I 19; 2θ 37.06, d = 2.426 Å, I 51; 2θ 44.18, d = 2.050 Å, I 25; 2θ 45.41, d = 1.997 Å, I 44; 2θ 51.97, d = 1.759 Å, I 26; 2θ 53.41, d = 1.715 Å, I 17; 2θ 60.33, d = 1.534 Å, I 18

Atomic structure:
```
data_Nd2HoErS5
_chemical_formula_sum 'Nd2 Ho1 Er1 S5'
_cell_length_a 4.852
_cell_length_b 4.852
_cell_length_c 10.225
_cell_angle_alpha 90.00
_cell_angle_beta 90.00
_cell_angle_gamma 90.00
_space_group_name_H-M_alt 'P 1'
_space_group_IT_number 1
loop_
_space_group_symop_operation_xyz
'x,y,z'
loop_
_atom_site_label
_atom_site_type_symbol
_atom_site_fract_x
_atom_site_fract_y
_atom_site_fract_z
Nd1 Nd 0.000 0.000 0.206
Nd2 Nd 0.000 0.000 0.794
Ho1 Ho 0.500 0.500 0.500
Er1 Er 0.500 0.500 0.000
S1 S 0.000 0.000 0.500
S2 S 0.000 0.500 0.000
S3 S 0.500 0.000 0.000
S4 S 0.500 0.500 0.255
S5 S 0.500 0.500 0.745
```

=====

Record 10
For Ta5As2W, DFT lattice parameters and positions (GGA-PBE) gives the computed X-ray diffraction stick pattern in this record (copper Kα).
Peak positions follow from Bragg's law for the DFT cell and can differ from measured ones.

Most intense lines, 15 to 90 degrees two-theta, low angle first:
2θ 34.17, d = 2.624 Å, I 51; 2θ 38.75, d = 2.324 Å, I 84; 2θ 38.91, d = 2.314 Å, I 100; 2θ 44.48, d = 2.037 Å, I 44; 2θ 54.89, d = 1.673 Å, I 16; 2θ 55.55, d = 1.654 Å, I 17; 2θ 66.27, d = 1.410 Å, I 14; 2θ 69.78, d = 1.348 Å, I 30; 2θ 73.22, d = 1.293 Å, I 21; 2θ 77.94, d = 1.226 Å, I 17

Atomic structure:
```
data_Ta5As2W
_chemical_formula_sum 'Ta5 As2 W1'
_cell_length_a 7.463
_cell_length_b 7.463
_cell_length_c 7.463
_cell_angle_alpha 154.38
_cell_angle_beta 126.74
_cell_angle_gamma 60.01
_space_group_name_H-M_alt 'P 1'
_space_group_IT_number 1
loop_
_space_group_symop_operation_xyz
'x,y,z'
loop_
_atom_site_label
_atom_site_type_symbol
_atom_site_fract_x
_atom_site_fract_y
_atom_site_fract_z
Ta1 Ta 0.000 0.000 0.000
Ta2 Ta 0.139 0.376 0.763
Ta3 Ta 0.388 0.624 0.763
Ta4 Ta 0.612 0.376 0.237
Ta5 Ta 0.861 0.624 0.237
As1 As 0.213 0.213 0.000
As2 As 0.787 0.787 0.000
W1 W 0.500 0.000 0.500
```

=====

Record 11
For TiSn9O20, DFT lattice parameters and positions (GGA-PBE) gives the computed X-ray diffraction stick pattern in this record (copper Kα).
Peak positions follow from Bragg's law for the DFT cell and can differ from measured ones.

Most intense lines, 15 to 90 degrees two-theta, low angle first:
2θ 26.19, d = 3.403 Å, I 100; 2θ 33.50, d = 2.675 Å, I 80; 2θ 37.38, d = 2.406 Å, I 23; 2θ 51.05, d = 1.789 Å, I 70; 2θ 53.89, d = 1.701 Å, I 17; 2θ 60.88, d = 1.522 Å, I 16; 2θ 64.00, d = 1.455 Å, I 17; 2θ 64.96, d = 1.436 Å, I 22; 2θ 77.41, d = 1.233 Å, I 15; 2θ 89.28, d = 1.097 Å, I 14

Atomic structure:
```
data_TiSn9O20
_chemical_formula_sum 'Ti1 Sn9 O20'
_cell_length_a 8.037
_cell_length_b 8.037
_cell_length_c 7.529
_cell_angle_alpha 92.33
_cell_angle_beta 92.33
_cell_angle_gamma 50.07
_space_group_name_H-M_alt 'P 1'
_space_group_IT_number 1
loop_
_space_group_symop_operation_xyz
'x,y,z'
loop_
_atom_site_label
_atom_site_type_symbol
_atom_site_fract_x
_atom_site_fract_y
_atom_site_fract_z
Ti1 Ti 0.000 0.000 0.000
Sn1 Sn 0.000 0.000 0.500
Sn2 Sn 0.197 0.197 0.199
Sn3 Sn 0.199 0.199 0.702
Sn4 Sn 0.399 0.399 0.401
Sn5 Sn 0.401 0.401 0.902
Sn6 Sn 0.599 0.599 0.098
Sn7 Sn 0.601 0.601 0.599
Sn8 Sn 0.801 0.801 0.298
Sn9 Sn 0.803 0.803 0.801
O1 O 0.056 0.056 0.245
O2 O 0.093 0.705 0.405
O3 O 0.106 0.494 0.803
O4 O 0.132 0.132 0.943
O5 O 0.260 0.260 0.455
O6 O 0.295 0.907 0.595
O7 O 0.299 0.701 0.000
O8 O 0.338 0.338 0.146
O9 O 0.462 0.462 0.656
O10 O 0.494 0.106 0.803
O11 O 0.506 0.894 0.197
O12 O 0.538 0.538 0.344
O13 O 0.662 0.662 0.854
O14 O 0.701 0.299 0.000
O15 O 0.705 0.093 0.405
O16 O 0.740 0.740 0.545
O17 O 0.868 0.868 0.057
O18 O 0.894 0.506 0.197
O19 O 0.907 0.295 0.595
O20 O 0.944 0.944 0.755
```

=====

Record 12
For DyPd4Pt5, DFT lattice parameters and positions (GGA-PBE) gives the computed X-ray diffraction stick pattern in this record (copper Kα).
Peak positions follow from Bragg's law for the DFT cell and can differ from measured ones.

Most intense lines, 15 to 90 degrees two-theta, low angle first:
2θ 19.04, d = 4.661 Å, I 14; 2θ 34.90, d = 2.571 Å, I 15; 2θ 38.24, d = 2.354 Å, I 23; 2θ 38.64, d = 2.330 Å, I 33; 2θ 43.05, d = 2.101 Å, I 100; 2θ 55.49, d = 1.656 Å, I 14; 2θ 69.12, d = 1.359 Å, I 17; 2θ 72.96, d = 1.297 Å, I 18; 2θ 82.10, d = 1.174 Å, I 21; 2θ 85.00, d = 1.141 Å, I 14

Atomic structure:
```
data_DyPd4Pt5
_chemical_formula_sum 'Dy2 Pd8 Pt10'
_cell_length_a 8.151
_cell_length_b 9.321
_cell_length_c 4.709
_cell_angle_alpha 90.00
_cell_angle_beta 90.00
_cell_angle_gamma 90.00
_space_group_name_H-M_alt 'P 1'
_space_group_IT_number 1
loop_
_space_group_symop_operation_xyz
'x,y,z'
loop_
_atom_site_label
_atom_site_type_symbol
_atom_site_fract_x
_atom_site_fract_y
_atom_site_fract_z
Dy1 Dy 0.250 0.250 0.075
Dy2 Dy 0.750 0.750 0.925
Pd1 Pd 0.058 0.750 0.610
Pd2 Pd 0.250 0.505 0.742
Pd3 Pd 0.250 0.995 0.742
Pd4 Pd 0.442 0.750 0.610
Pd5 Pd 0.558 0.250 0.390
Pd6 Pd 0.750 0.005 0.258
Pd7 Pd 0.750 0.495 0.258
Pd8 Pd 0.942 0.250 0.390
Pt1 Pt 0.079 0.513 0.248
Pt2 Pt 0.079 0.987 0.248
Pt3 Pt 0.250 0.750 0.093
Pt4 Pt 0.421 0.513 0.248
Pt5 Pt 0.421 0.987 0.248
Pt6 Pt 0.579 0.013 0.752
Pt7 Pt 0.579 0.487 0.752
Pt8 Pt 0.750 0.250 0.907
Pt9 Pt 0.921 0.013 0.752
Pt10 Pt 0.921 0.487 0.752
```